[1]
For Tb5InBi4, a cell relaxed with GGA-PBE gives the calculated XRD peak list in this record (Cu Kα (weighted mean of Kα1 and Kα2)).
Peak positions follow from Bragg's law for the DFT cell and can differ from measured ones.

Structure:
```
data_Tb5InBi4
_symmetry_space_group_name_H-M 'I 4'
_symmetry_Int_Tables_number 79
_cell_length_a 10.0215
_cell_length_b 10.0215
_cell_length_c 6.3226
_cell_angle_alpha 90.00
_cell_angle_beta 90.00
_cell_angle_gamma 90.00
loop_
_symmetry_equiv_pos_as_xyz
'x,y,z'
'-y,x,z'
'-x,-y,z'
'y,-x,z'
'x+1/2,y+1/2,z+1/2'
'-y+1/2,x+1/2,z+1/2'
'-x+1/2,-y+1/2,z+1/2'
'y+1/2,-x+1/2,z+1/2'
loop_
_atom_site_label
_atom_site_type_symbol
_atom_site_fract_x
_atom_site_fract_y
_atom_site_fract_z
Tb1 Tb 0.0000 0.0000 0.0000
Tb2 Tb 0.1024 0.3026 0.5009
In1 In 0.0000 0.0000 0.5000
Bi1 Bi 0.0993 0.2998 0.0010
```

The 6 most intense peaks (5° ≤ 2θ ≤ 70°), low angle first:
2θ = 28.18°, intensity 100.0, hkl 1 3 0
2θ = 40.28°, intensity 78.0, hkl 4 2 0
2θ = 49.88°, intensity 28.3, hkl 4 2 2
2θ = 58.23°, intensity 8.9, hkl 2 6 0
2θ = 65.92°, intensity 24.7, hkl 7 1 0
2θ = 66.05°, intensity 12.3, hkl 1 3 4

---

[2]
For In8BiTe4, a cell relaxed with GGA-PBE gives the calculated XRD peak list in this record (Cu Kα (weighted mean of Kα1 and Kα2)).
Peak positions follow from Bragg's law for the DFT cell and can differ from measured ones.

Structure:
```
data_In8BiTe4
_symmetry_space_group_name_H-M 'P -1'
_symmetry_Int_Tables_number 2
_cell_length_a 7.2165
_cell_length_b 8.4449
_cell_length_c 8.7256
_cell_angle_alpha 100.38
_cell_angle_beta 107.74
_cell_angle_gamma 107.25
loop_
_symmetry_equiv_pos_as_xyz
'x,y,z'
'-x,-y,-z'
loop_
_atom_site_label
_atom_site_type_symbol
_atom_site_fract_x
_atom_site_fract_y
_atom_site_fract_z
In1 In 0.1948 0.3518 0.2848
In2 In 0.2412 0.3642 0.7697
In3 In 0.2630 0.9296 0.8584
In4 In 0.2938 0.8737 0.3679
Bi1 Bi 0.0000 0.0000 0.5000
Te1 Te 0.3163 0.6255 0.0924
Te2 Te 0.3563 0.6571 0.6188
```

The 6 most intense peaks (5° ≤ 2θ ≤ 70°), low angle first:
2θ = 25.04°, intensity 37.7, hkl -1 1 2
2θ = 25.94°, intensity 50.4, hkl 2 -1 0
2θ = 27.05°, intensity 100.0, hkl 0 2 -2
2θ = 28.01°, intensity 42.0, hkl 2 0 0
2θ = 34.38°, intensity 36.4, hkl -2 2 2
2θ = 37.06°, intensity 48.2, hkl 1 1 2

---

[3]
For In3BiTe4, a cell relaxed with GGA-PBE gives the calculated XRD peak list in this record (Cu Kα (weighted mean of Kα1 and Kα2)).
Peak positions follow from Bragg's law for the DFT cell and can differ from measured ones.

Structure:
```
data_In3BiTe4
_symmetry_space_group_name_H-M 'I 4 2 2'
_symmetry_Int_Tables_number 97
_symmetry_space_group_name_Hall 'I 4 2'
_cell_length_a 8.2688
_cell_length_b 8.2688
_cell_length_c 7.3619
_cell_angle_alpha 90.00
_cell_angle_beta 90.00
_cell_angle_gamma 90.00
loop_
_atom_site_label
_atom_site_type_symbol
_atom_site_fract_x
_atom_site_fract_y
_atom_site_fract_z
In1 In 0.0000 0.0000 0.0000
In2 In 0.0000 0.5000 0.0000
Bi1 Bi 0.0000 0.0000 0.5000
Te1 Te 0.1938 0.3062 0.7500
```

The 6 most intense peaks (5° ≤ 2θ ≤ 70°), low angle first:
2θ = 26.98°, intensity 36.9, hkl 2 1 1
2θ = 30.58°, intensity 48.2, hkl 2 2 0
2θ = 32.57°, intensity 100.0, hkl 2 0 2
2θ = 46.96°, intensity 17.9, hkl 4 1 1
2θ = 55.63°, intensity 18.8, hkl 4 2 2
2θ = 59.34°, intensity 14.4, hkl 2 2 4

---

[4]
For Th4InBi, a cell relaxed with GGA-PBE gives the calculated XRD peak list in this record (Cu Kα (weighted mean of Kα1 and Kα2)).
Peak positions follow from Bragg's law for the DFT cell and can differ from measured ones.

Structure:
```
data_Th4InBi
_symmetry_space_group_name_H-M 'P 4/m c c'
_symmetry_Int_Tables_number 124
_symmetry_space_group_name_Hall '-P 4 2c'
_cell_length_a 7.7165
_cell_length_b 7.7165
_cell_length_c 6.4127
_cell_angle_alpha 90.00
_cell_angle_beta 90.00
_cell_angle_gamma 90.00
loop_
_atom_site_label
_atom_site_type_symbol
_atom_site_fract_x
_atom_site_fract_y
_atom_site_fract_z
Th1 Th 0.1494 0.3432 0.0000
In1 In 0.0000 0.0000 0.2500
Bi1 Bi 0.5000 0.5000 0.2500
```

The 6 most intense peaks (5° ≤ 2θ ≤ 70°), low angle first:
2θ = 29.39°, intensity 100.0, hkl 2 1 1
2θ = 32.39°, intensity 31.4, hkl 1 1 2
2θ = 36.43°, intensity 24.4, hkl 2 0 2
2θ = 36.83°, intensity 39.4, hkl 3 1 0
2θ = 50.20°, intensity 26.8, hkl 2 1 3
2θ = 58.33°, intensity 21.3, hkl 3 3 2

---

[5]
For Ti6In3Bi, a cell relaxed with GGA-PBE gives the calculated XRD peak list in this record (Cu Kα (weighted mean of Kα1 and Kα2)).
Peak positions follow from Bragg's law for the DFT cell and can differ from measured ones.

Structure:
```
data_Ti6In3Bi
_symmetry_space_group_name_H-M 'C m c 21'
_symmetry_Int_Tables_number 36
_cell_length_a 8.8964
_cell_length_b 14.9603
_cell_length_c 6.2384
_cell_angle_alpha 90.00
_cell_angle_beta 90.00
_cell_angle_gamma 90.00
loop_
_symmetry_equiv_pos_as_xyz
'x,y,z'
'-x,-y,z+1/2'
'-x,y,z'
'x,-y,z+1/2'
'x+1/2,y+1/2,z'
'-x+1/2,-y+1/2,z+1/2'
'-x+1/2,y+1/2,z'
'x+1/2,-y+1/2,z+1/2'
loop_
_atom_site_label
_atom_site_type_symbol
_atom_site_fract_x
_atom_site_fract_y
_atom_site_fract_z
Ti1 Ti 0.0000 0.0236 0.0000
Ti2 Ti 0.0000 0.2871 0.6829
Ti3 Ti 0.1978 0.2480 0.9884
Ti4 Ti 0.2189 0.4184 0.6992
In1 In 0.0000 0.4374 0.0318
In2 In 0.2042 0.1013 0.7214
Bi1 Bi 0.0000 0.1718 0.3065
```

The 6 most intense peaks (5° ≤ 2θ ≤ 70°), low angle first:
2θ = 20.42°, intensity 43.7, hkl 1 3 0
2θ = 27.36°, intensity 100.0, hkl 2 2 1
2θ = 27.81°, intensity 44.6, hkl 0 4 1
2θ = 34.01°, intensity 52.0, hkl 3 1 1
2θ = 37.20°, intensity 80.9, hkl 2 2 2
2θ = 38.14°, intensity 62.7, hkl 3 3 1

---

[6]
For TiInBi, a cell relaxed with GGA-PBE gives the calculated XRD peak list in this record (Cu Kα (weighted mean of Kα1 and Kα2)).
Peak positions follow from Bragg's law for the DFT cell and can differ from measured ones.

Structure:
```
data_TiInBi
_symmetry_space_group_name_H-M 'I m a 2'
_symmetry_Int_Tables_number 46
_cell_length_a 5.7541
_cell_length_b 6.9616
_cell_length_c 7.2373
_cell_angle_alpha 90.00
_cell_angle_beta 90.00
_cell_angle_gamma 90.00
loop_
_symmetry_equiv_pos_as_xyz
'x,y,z'
'-x,-y,z'
'-x+1/2,y,z'
'x+1/2,-y,z'
'x+1/2,y+1/2,z+1/2'
'-x+1/2,-y+1/2,z+1/2'
'-x,y+1/2,z+1/2'
'x,-y+1/2,z+1/2'
loop_
_atom_site_label
_atom_site_type_symbol
_atom_site_fract_x
_atom_site_fract_y
_atom_site_fract_z
Ti1 Ti 0.0000 0.0000 0.0000
In1 In 0.2500 0.1735 0.6779
Bi1 Bi 0.2500 0.6752 0.8213
```

The 6 most intense peaks (5° ≤ 2θ ≤ 70°), low angle first:
2θ = 31.09°, intensity 37.4, hkl 2 0 0
2θ = 31.92°, intensity 98.4, hkl 1 1 2
2θ = 32.51°, intensity 100.0, hkl 1 2 1
2θ = 40.04°, intensity 33.3, hkl 2 0 2
2θ = 54.80°, intensity 31.8, hkl 1 1 4
2θ = 64.44°, intensity 31.4, hkl 2 3 3

---

> What is the formula in the sixth record?

TiInBi